Diffraction record for Er5Re2O12. The powder diffractogram is calculated, not measured: it uses DFT lattice parameters and positions (PBE) and copper Kα.
Kinematic intensities with the Lorentz-polarization factor, no thermal factor.

The 10 most intense peaks (10° ≤ 2θ ≤ 80°), by angle:
- hkl 3 1 0, 27.72°, I 97
- hkl 1 1 -2, 28.60°, I 100
- hkl 4 0 -2, 33.02°, I 37
- hkl 2 0 2, 33.16°, I 37
- hkl 0 2 1, 34.16°, I 23
- hkl 2 2 0, 35.28°, I 21
- hkl 0 2 2, 40.76°, I 26
- hkl 6 0 0, 46.38°, I 28
- hkl 2 0 -4, 48.60°, I 24
- hkl 1 1 4, 56.96°, I 24

Cell and atoms:
a = 12.3484 Å, b = 5.6455 Å, c = 7.4928 Å
α = 90.00°, β = 107.90°, γ = 90.00°
Space group C2/m (No. 12)
Asymmetric unit:
Er  0.0000  0.0000  0.0000
Er  0.1861  0.5000  0.3245
Er  0.1971  0.5000  0.8605
Re  0.0000  0.2145  0.5000
O  0.0006  0.0000  0.2921
O  0.0007  0.5000  0.6797
O  0.1538  0.2521  0.0742
O  0.1664  0.2545  0.5867

Diffraction record for ErRe2O8. The powder diffractogram is calculated, not measured: it uses DFT lattice parameters and positions (PBE) and copper Kα.
Kinematic intensities with the Lorentz-polarization factor, no thermal factor.

The 10 most intense peaks (10° ≤ 2θ ≤ 80°), by angle:
- hkl 0 1 1, 22.09°, I 100
- hkl 1 1 0, 29.51°, I 43
- hkl 1 0 2, 33.27°, I 24
- hkl 2 0 1, 37.16°, I 16
- hkl 0 2 2, 45.05°, I 15
- hkl 3 -2 1, 48.15°, I 24
- hkl 3 0 0, 52.34°, I 9
- hkl 1 1 3, 53.21°, I 13
- hkl 2 1 2, 54.78°, I 12
- hkl 3 1 1, 65.93°, I 10

Cell and atoms:
a = 6.0548 Å, b = 6.0548 Å, c = 6.2778 Å
α = 90.00°, β = 90.00°, γ = 120.00°
Space group P-3 (No. 147)
Asymmetric unit:
Er  0.0000  0.0000  0.0000
Re  0.3333  0.6667  0.2970
O  0.1366  0.3471  0.2024
O  0.3333  0.6667  0.5750

Diffraction record for Sr2ErReO6. The powder diffractogram is calculated, not measured: it uses DFT lattice parameters and positions (PBE) and copper Kα.
Kinematic intensities with the Lorentz-polarization factor, no thermal factor.

The 10 most intense peaks (10° ≤ 2θ ≤ 80°), by angle:
- hkl 2 0 0, 21.37°, I 21
- hkl 2 2 0, 30.40°, I 100
- hkl 2 2 2, 37.46°, I 1
- hkl 4 0 0, 43.53°, I 30
- hkl 4 2 0, 48.99°, I 9
- hkl 4 2 2, 54.02°, I 41
- hkl 4 4 0, 63.26°, I 18
- hkl 6 0 0, 67.59°, I 4
- hkl 6 2 0, 71.79°, I 18
- hkl 4 4 4, 79.92°, I 6

Cell and atoms:
a = 8.3160 Å, b = 8.3160 Å, c = 8.3160 Å
α = 90.00°, β = 90.00°, γ = 90.00°
Space group Fm-3m (No. 225)
Asymmetric unit:
Sr  0.2500  0.2500  0.2500
Er  0.0000  0.0000  0.0000
Re  0.0000  0.0000  0.5000
O  0.0000  0.0000  0.2627

Diffraction record for ErRhO3. The powder diffractogram is calculated, not measured: it uses DFT lattice parameters and positions (PBE) and copper Kα.
Kinematic intensities with the Lorentz-polarization factor, no thermal factor.

The 10 most intense peaks (10° ≤ 2θ ≤ 80°), by angle:
- hkl 1 1 1, 25.67°, I 22
- hkl 2 0 0, 31.01°, I 17
- hkl 1 2 1, 32.83°, I 100
- hkl 2 1 0, 33.20°, I 14
- hkl 0 0 2, 33.96°, I 24
- hkl 2 0 2, 46.64°, I 13
- hkl 0 4 0, 47.58°, I 21
- hkl 3 1 1, 52.01°, I 15
- hkl 0 4 2, 59.74°, I 16
- hkl 1 2 3, 60.05°, I 19

Cell and atoms:
a = 5.7680 Å, b = 7.6466 Å, c = 5.2796 Å
α = 90.00°, β = 90.00°, γ = 90.00°
Space group Pnma (No. 62)
Asymmetric unit:
Er  0.0836  0.2500  0.0294
Rh  0.0000  0.0000  0.5000
O  0.0557  0.7500  0.3613
O  0.1895  0.5658  0.8226

Diffraction record for Sr3ErRhO6. The powder diffractogram is calculated, not measured: it uses DFT lattice parameters and positions (PBE) and copper Kα.
Kinematic intensities with the Lorentz-polarization factor, no thermal factor.

The 10 most intense peaks (10° ≤ 2θ ≤ 80°), by angle:
- hkl 1 1 0, 17.98°, I 48
- hkl 1 1 3, 29.70°, I 41
- hkl 3 0 0, 31.41°, I 100
- hkl 1 0 4, 33.18°, I 12
- hkl 0 2 4, 37.99°, I 33
- hkl 2 1 4, 42.33°, I 39
- hkl 2 2 3, 43.77°, I 24
- hkl 3 3 0, 55.93°, I 17
- hkl 3 2 4, 57.05°, I 28
- hkl 3 0 6, 58.45°, I 12

Cell and atoms:
a = 9.8659 Å, b = 9.8659 Å, c = 11.3845 Å
α = 90.00°, β = 90.00°, γ = 120.00°
Space group R-3c (No. 167, hexagonal axes)
Asymmetric unit:
Sr  0.0000  0.3687  0.2500
Er  0.0000  0.0000  0.2500
Rh  0.0000  0.0000  0.0000
O  0.0217  0.1779  0.3858

Diffraction record for Sr2ErRuO6. The powder diffractogram is calculated, not measured: it uses DFT lattice parameters and positions (PBE) and copper Kα.
Kinematic intensities with the Lorentz-polarization factor, no thermal factor.

The 10 most intense peaks (10° ≤ 2θ ≤ 80°), by angle:
- hkl 1 1 -1, 21.60°, I 23
- hkl 0 2 0, 30.58°, I 33
- hkl 1 1 1, 30.68°, I 68
- hkl 1 1 -3, 30.82°, I 100
- hkl 0 0 4, 44.02°, I 56
- hkl 1 3 -3, 54.45°, I 24
- hkl 2 0 2, 54.63°, I 37
- hkl 3 1 -5, 54.92°, I 22
- hkl 1 1 5, 72.70°, I 11
- hkl 1 1 -7, 72.86°, I 11

Cell and atoms:
a = 5.7967 Å, b = 5.8477 Å, c = 10.0304 Å
α = 90.00°, β = 124.99°, γ = 90.00°
Space group P2_1/c (No. 14)
Asymmetric unit:
Sr  0.2419  0.0343  0.2495
Er  0.5000  0.0000  0.0000
Ru  0.0000  0.0000  0.5000
O  0.1605  0.2281  0.9610
O  0.2335  0.7019  0.9629
O  0.3072  0.0179  0.7356

Diffraction record for Er2S3O20. The powder diffractogram is calculated, not measured: it uses DFT lattice parameters and positions (PBE) and copper Kα.
Kinematic intensities with the Lorentz-polarization factor, no thermal factor.

The 10 most intense peaks (10° ≤ 2θ ≤ 80°), by angle:
- hkl 2 0 0, 13.35°, I 47
- hkl 1 1 0, 15.07°, I 66
- hkl 2 0 -2, 15.19°, I 100
- hkl 1 1 2, 18.57°, I 85
- hkl 0 0 4, 19.56°, I 62
- hkl 1 1 -4, 23.88°, I 31
- hkl 3 1 0, 24.28°, I 63
- hkl 2 0 4, 25.54°, I 33
- hkl 0 2 0, 27.20°, I 36
- hkl 2 0 -6, 30.40°, I 42

Cell and atoms:
a = 13.4454 Å, b = 6.5565 Å, c = 18.4085 Å
α = 90.00°, β = 99.47°, γ = 90.00°
Space group C2/c (No. 15)
Asymmetric unit:
Er  0.1666  0.0158  0.3954
S  0.0000  0.2921  0.2500
S  0.2150  0.0244  0.0896
O  0.0034  0.1184  0.6312
O  0.0314  0.1731  0.4327
O  0.0432  0.4305  0.1983
O  0.0800  0.1586  0.2908
O  0.1478  0.0347  0.1465
O  0.1581  0.4743  0.5709
O  0.1612  0.0681  0.0144
O  0.2002  0.4556  0.1835
O  0.2036  0.3227  0.8876
O  0.2361  0.3210  0.4107

Diffraction record for Er2S2O. The powder diffractogram is calculated, not measured: it uses DFT lattice parameters and positions (PBE) and copper Kα.
Kinematic intensities with the Lorentz-polarization factor, no thermal factor.

The 10 most intense peaks (10° ≤ 2θ ≤ 80°), by angle:
- hkl 1 1 -1, 20.37°, I 38
- hkl 2 1 0, 25.53°, I 27
- hkl 0 0 2, 26.47°, I 41
- hkl 2 1 -1, 27.07°, I 52
- hkl 0 2 1, 29.29°, I 64
- hkl 2 1 1, 30.48°, I 100
- hkl 3 0 -2, 39.16°, I 30
- hkl 2 1 2, 39.74°, I 25
- hkl 1 1 -3, 42.09°, I 27
- hkl 2 1 3, 51.44°, I 22

Cell and atoms:
a = 8.2240 Å, b = 6.8403 Å, c = 6.8265 Å
α = 90.00°, β = 99.44°, γ = 90.00°
Space group P2_1/c (No. 14)
Asymmetric unit:
Er  0.0754  0.1448  0.3229
Er  0.3614  0.5535  0.2505
S  0.1809  0.6324  0.5789
S  0.4250  0.2228  0.4695
O  0.1169  0.0872  0.6497